# MgMnV5O12
Computed powder diffraction line list, Cu Kα (weighted mean of Kα1 and Kα2). Input: a DFT-relaxed cell (GGA+U, the Materials Project).

Top 8 peaks for 2θ = 10–90°, sorted by position:
d = 6.600 Å, 2θ = 13.42°, I = 21
d = 4.424 Å, 2θ = 20.07°, I = 11
d = 3.204 Å, 2θ = 27.84°, I = 100
d = 3.175 Å, 2θ = 28.11°, I = 26
d = 3.134 Å, 2θ = 28.48°, I = 16
d = 2.564 Å, 2θ = 34.99°, I = 37
d = 2.534 Å, 2θ = 35.42°, I = 13
d = 1.780 Å, 2θ = 51.34°, I = 13

Atomic structure:
```
MgMnV5O12
1.0
5.5935 0.0000 0.0000
2.2472 6.6600 0.0000
2.1573 0.9117 6.7282
Mg Mn V O
1 1 5 12
Cartesian
0.0000 0.0000 0.0000
7.7934 4.5185 2.5259
3.2136 4.4297 5.9907
5.0275 5.5978 1.3002
3.8453 2.3981 0.6180
6.3687 6.4472 4.5107
6.7453 1.0987 3.2512
1.6952 2.5049 2.4546
3.2524 6.4989 1.9878
2.2757 0.7150 4.5588
4.9126 3.8335 5.9210
6.2292 6.6106 6.2978
4.0630 3.8576 1.6449
5.8870 5.4900 3.0740
3.7048 0.6537 0.9309
5.1298 1.2936 3.9086
7.6998 3.0380 6.5203
8.0094 5.1918 4.5543
6.8202 4.8661 0.5164
```

---

# V3OF11
Computed powder diffraction line list, Cu Kα (weighted mean of Kα1 and Kα2). Input: a DFT-relaxed cell (GGA+U, the Materials Project).

Top 8 peaks for 2θ = 10–90°, sorted by position:
d = 4.833 Å, 2θ = 18.36°, I = 56
d = 3.530 Å, 2θ = 25.23°, I = 100
d = 2.728 Å, 2θ = 32.83°, I = 9
d = 2.417 Å, 2θ = 37.20°, I = 8
d = 2.304 Å, 2θ = 39.10°, I = 11
d = 1.896 Å, 2θ = 47.99°, I = 17
d = 1.720 Å, 2θ = 53.27°, I = 9
d = 1.694 Å, 2θ = 54.13°, I = 8

Atomic structure:
```
V3OF11
1.0
5.2716 0.0000 0.0000
-0.0065 5.4566 0.0000
-0.0158 -2.6488 14.5003
V O F
6 2 22
Cartesian
0.0000 0.0000 0.0000
0.0108 0.0492 9.6471
0.0559 2.6871 4.8210
2.5899 0.0879 14.3917
2.6435 2.7771 9.6450
2.7822 -0.1896 4.7675
2.2108 0.1417 12.8206
3.7269 3.9482 4.4874
0.4184 2.8654 3.1021
0.4597 0.1322 7.9420
0.4699 2.8787 12.8080
1.0493 1.6820 10.0058
1.1191 1.5933 0.3650
1.1373 4.3420 5.1665
1.5550 1.6271 5.1603
1.5790 4.3011 0.3652
1.6039 -1.0495 10.0087
2.1579 0.1551 3.1429
2.1874 2.8739 7.9422
3.0296 0.0500 6.5052
3.0973 2.6949 11.3526
3.1373 2.6492 1.6591
3.6863 1.1480 9.2895
3.7078 -1.5134 14.1221
4.1825 1.1248 4.4571
4.1816 1.2092 14.1292
4.2440 -1.5824 9.2930
4.8189 2.7158 6.5162
4.8281 -0.0320 11.3540
4.8557 -0.0766 1.7066
```

---

# MgCr2O4
Computed powder diffraction line list, Cu Kα (weighted mean of Kα1 and Kα2). Input: a DFT-relaxed cell (GGA+U, the Materials Project).

Top 8 peaks for 2θ = 10–90°, sorted by position:
d = 4.915 Å, 2θ = 18.05°, I = 38
d = 2.801 Å, 2θ = 31.95°, I = 26
d = 2.713 Å, 2θ = 33.02°, I = 100
d = 2.167 Å, 2θ = 41.68°, I = 34
d = 2.116 Å, 2θ = 42.73°, I = 45
d = 1.983 Å, 2θ = 45.76°, I = 51
d = 1.609 Å, 2θ = 57.25°, I = 24
d = 1.447 Å, 2θ = 64.38°, I = 44

Atomic structure:
```
MgCr2O4
1.0
1.4632 -4.8362 0.0000
1.4632 4.8362 0.0000
0.0000 0.0000 9.8292
Mg Cr O
2 4 8
Cartesian
1.4632 3.7802 7.3719
1.4632 -3.7802 2.4573
1.4632 1.2883 5.6194
1.4632 1.2883 9.1244
1.4632 -1.2883 0.7048
1.4632 -1.2883 4.2098
0.0000 0.0000 0.0000
0.0000 0.0000 4.9146
1.4632 2.2219 1.1170
1.4632 2.2219 3.7976
1.4632 0.3546 7.3719
1.4632 -0.3546 2.4573
1.4632 -2.2219 6.0315
1.4632 -2.2219 8.7122
```

---

# V2NO
Computed powder diffraction line list, Cu Kα (weighted mean of Kα1 and Kα2). Input: a DFT-relaxed cell (GGA+U, the Materials Project).

Top 8 peaks for 2θ = 10–90°, sorted by position:
d = 2.527 Å, 2θ = 35.53°, I = 94
d = 2.210 Å, 2θ = 40.84°, I = 53
d = 2.178 Å, 2θ = 41.46°, I = 100
d = 1.551 Å, 2θ = 59.61°, I = 58
d = 1.540 Å, 2θ = 60.08°, I = 28
d = 1.329 Å, 2θ = 70.92°, I = 12
d = 1.315 Å, 2θ = 71.79°, I = 23
d = 1.263 Å, 2θ = 75.21°, I = 26

Atomic structure:
```
V2NO
1.0
3.0798 0.0000 0.0000
0.0000 3.0798 0.0000
0.0000 0.0000 4.4192
V N O
2 1 1
Cartesian
0.0000 0.0000 0.0000
1.5399 1.5399 2.2096
0.0000 0.0000 2.2096
1.5399 1.5399 0.0000
```

---

# Li2VCrO4
Computed powder diffraction line list, Cu Kα (weighted mean of Kα1 and Kα2). Input: a DFT-relaxed cell (GGA+U, the Materials Project).

Top 8 peaks for 2θ = 10–90°, sorted by position:
d = 4.868 Å, 2θ = 18.22°, I = 100
d = 2.549 Å, 2θ = 35.21°, I = 27
d = 2.542 Å, 2θ = 35.30°, I = 13
d = 2.113 Å, 2θ = 42.80°, I = 57
d = 2.106 Å, 2θ = 42.94°, I = 28
d = 1.936 Å, 2θ = 46.92°, I = 12
d = 1.492 Å, 2θ = 62.21°, I = 30
d = 1.219 Å, 2θ = 78.45°, I = 10

Atomic structure:
```
Li2VCrO4
1.0
5.1599 0.0000 0.0000
-0.8538 5.1084 0.0000
-2.5697 -0.4456 8.5612
Li V Cr O
6 3 3 12
Cartesian
0.0000 0.0000 0.0000
-0.8469 -0.1466 2.8336
-0.8546 2.5470 1.4114
3.4421 -0.2562 5.6516
2.5821 2.2065 7.1157
3.4450 2.3674 4.2433
1.7258 1.1955 2.1041
0.0097 3.5290 6.3997
0.0115 0.8934 7.8288
0.8685 1.0494 4.9547
0.8670 3.6783 3.5361
1.7224 3.8163 0.7060
0.9543 1.9552 0.3805
0.1147 4.3895 1.7911
-1.6029 4.1205 7.5148
-0.7392 4.2994 4.6288
-0.7367 1.6451 6.0698
0.1269 1.8079 3.2185
2.4655 0.4420 3.8512
1.6130 2.9232 5.2821
3.3360 0.5759 1.0190
1.6297 0.2940 6.6913
0.7644 2.7584 8.1781
2.4797 3.1072 2.4434
```

---

# NaMnVO4
Computed powder diffraction line list, Cu Kα (weighted mean of Kα1 and Kα2). Input: a DFT-relaxed cell (GGA+U, the Materials Project).

Top 8 peaks for 2θ = 10–90°, sorted by position:
d = 3.899 Å, 2θ = 22.81°, I = 53
d = 2.827 Å, 2θ = 31.65°, I = 74
d = 2.797 Å, 2θ = 32.00°, I = 69
d = 2.774 Å, 2θ = 32.27°, I = 100
d = 2.692 Å, 2θ = 33.29°, I = 36
d = 1.949 Å, 2θ = 46.59°, I = 42
d = 1.618 Å, 2θ = 56.92°, I = 38
d = 1.573 Å, 2θ = 58.67°, I = 26

Atomic structure:
```
NaMnVO4
1.0
9.7122 0.0000 0.0000
0.0000 6.9546 0.0000
0.0000 0.0000 5.3830
Na Mn V O
4 4 4 16
Cartesian
1.4382 1.7387 0.0776
3.4179 5.2160 2.7691
6.2943 1.7387 2.6139
8.2740 5.2160 5.3054
0.0000 0.0000 2.6915
0.0000 3.4773 2.6915
4.8561 0.0000 0.0000
4.8561 3.4773 0.0000
1.7489 5.2160 0.1107
3.1072 1.7387 2.8022
6.6050 5.2160 2.5808
7.9633 1.7387 5.2723
1.1157 3.8446 0.9412
1.1157 6.5873 0.9412
1.1860 5.2160 3.8201
1.3326 1.7387 3.0219
3.5235 5.2160 0.3304
3.6701 1.7387 1.1286
3.7404 0.3673 3.6327
3.7404 3.1100 3.6327
5.9718 3.8446 1.7503
5.9718 6.5873 1.7503
6.0421 5.2160 4.2544
6.1887 1.7387 5.0526
8.3796 5.2160 2.3611
8.5262 1.7387 1.5629
8.5965 0.3673 4.4418
8.5965 3.1100 4.4418
```